Entry 1:
# Ho12Er2Tl
Simulated XRD peak list, Cu Kα (λ = 1.5418 Å). Input: a crystal structure in Alexandria, relaxed with PBE.
Peak positions follow from Bragg's law for the DFT cell and can differ from measured ones.

Cell and atoms:
Lattice parameters (Å, degrees): 7.1129 11.1328 23.7537 90.00 97.87 90.00
Space group C2/m (No. 12)
Inequivalent atoms, fractional coordinates:
Ho (0.0156, 0.2501, 0.3039)
Ho (0.0409, 0.0000, 0.3729)
Ho (0.0410, 0.5000, 0.3731)
Ho (0.0464, 0.2501, 0.8265)
Ho (0.0897, 0.0000, 0.9226)
Ho (0.0907, 0.5000, 0.9230)
Ho (0.1501, 0.2504, 0.0564)
Ho (0.1716, 0.2500, 0.5687)
Er (0.2306, 0.0000, 0.2340)
Er (0.2309, 0.5000, 0.2339)
Tl (0.2499, 0.0000, 0.5000)

Peak list (10 most intense, 2θ from 10° to 90°, by angle)
31.08°, intensity 292, (0 2 7); 31.33°, intensity 143, (2 0 4); 31.85°, intensity 294, (2 2 2); 32.12°, intensity 1000, (0 4 0); 34.49°, intensity 344, (0 2 8); 45.51°, intensity 104, (2 4 4); 57.17°, intensity 110, (2 6 2); 57.29°, intensity 110, (2 6 -4); 58.85°, intensity 98, (0 6 8); 61.94°, intensity 105, (4 4 -2)

Entry 2:
# Ho2Er12Tl
Simulated XRD peak list, Cu Kα (λ = 1.5418 Å). Input: a crystal structure in Alexandria, relaxed with PBE.
Peak positions follow from Bragg's law for the DFT cell and can differ from measured ones.

Cell and atoms:
Lattice parameters (Å, degrees): 7.0930 11.0854 23.6938 90.00 97.96 90.00
Space group C2/m (No. 12)
Inequivalent atoms, fractional coordinates:
Ho (0.2342, 0.0000, 0.2339)
Ho (0.2345, 0.5000, 0.2338)
Er (0.0199, 0.2495, 0.3039)
Er (0.0441, 0.2502, 0.8272)
Er (0.0448, 0.0000, 0.3733)
Er (0.0447, 0.5000, 0.3727)
Er (0.0893, 0.0000, 0.9234)
Er (0.0896, 0.5000, 0.9236)
Er (0.1508, 0.2501, 0.0560)
Er (0.1688, 0.2502, 0.5690)
Tl (0.2505, 0.0000, 0.5002)

Peak list (10 most intense, 2θ from 10° to 90°, by angle)
31.18°, intensity 551, (0 2 7); 31.45°, intensity 272, (2 0 4); 31.97°, intensity 554, (2 2 2); 32.18°, intensity 1000, (2 2 -4); 32.30°, intensity 841, (0 4 0); 34.60°, intensity 623, (0 2 8); 45.70°, intensity 195, (2 4 4); 57.42°, intensity 191, (2 6 2); 57.53°, intensity 206, (2 6 -4); 62.16°, intensity 194, (4 4 -2)

Entry 3:
# Ho4ErTl3
Simulated XRD peak list, Cu Kα (λ = 1.5418 Å). Input: a crystal structure in Alexandria, relaxed with PBE.
Peak positions follow from Bragg's law for the DFT cell and can differ from measured ones.

Cell and atoms:
Lattice parameters (Å, degrees): 3.5735 8.8217 14.8499 90.00 90.00 90.00
Space group Immm (No. 71)
Inequivalent atoms, fractional coordinates:
Ho (0.0000, 0.1989, 0.1377)
Er (0.0000, 0.5000, 0.0000)
Tl (0.0000, 0.0000, 0.3151)
Tl (0.0000, 0.5000, 0.5000)

Peak list (10 most intense, 2θ from 10° to 90°, by angle)
29.53°, intensity 1000, (1 1 2); 31.50°, intensity 657, (0 2 4); 32.81°, intensity 478, (1 2 1); 35.51°, intensity 516, (0 3 3); 36.33°, intensity 750, (0 0 6); 37.13°, intensity 756, (1 2 3); 41.59°, intensity 273, (1 3 2); 51.12°, intensity 247, (2 0 0); 63.97°, intensity 256, (1 5 4); 64.88°, intensity 349, (1 3 8)

Entry 4:
# Ho2Er2Tl7
Simulated XRD peak list, Cu Kα (λ = 1.5418 Å). Input: a crystal structure in Alexandria, relaxed with PBE.
Peak positions follow from Bragg's law for the DFT cell and can differ from measured ones.

Cell and atoms:
Lattice parameters (Å, degrees): 6.9804 11.7403 8.3582 90.00 90.00 90.00
Space group Cmmm (No. 65)
Inequivalent atoms, fractional coordinates:
Ho (0.2498, 0.0000, 0.0000)
Er (0.0000, 0.2334, 0.5000)
Tl (0.0000, 0.0000, 0.3107)
Tl (0.0000, 0.5000, 0.5000)
Tl (0.2500, 0.2500, 0.1846)

Peak list (10 most intense, 2θ from 10° to 90°, by angle)
25.98°, intensity 274, (1 1 2); 27.70°, intensity 1000, (2 0 1); 29.78°, intensity 263, (2 2 0); 30.46°, intensity 918, (0 4 0); 35.67°, intensity 725, (0 2 3); 36.88°, intensity 888, (2 2 2); 41.63°, intensity 650, (2 4 1); 61.85°, intensity 252, (4 4 0); 65.03°, intensity 258, (4 2 3); 70.19°, intensity 336, (2 4 5)

Entry 5:
# YHoEr2Tl2
Simulated XRD peak list, Cu Kα (λ = 1.5418 Å). Input: a crystal structure in Alexandria, relaxed with PBE.
Peak positions follow from Bragg's law for the DFT cell and can differ from measured ones.

Cell and atoms:
Lattice parameters (Å, degrees): 5.0544 9.9000 6.8306 90.00 90.00 90.00
Space group Pmc2_1 (No. 26)
Inequivalent atoms, fractional coordinates:
Y (0.0000, 0.0441, 0.0000)
Ho (0.5000, 0.1902, 0.7166)
Er (0.0000, 0.3128, 0.3796)
Er (0.5000, 0.4564, 0.0955)
Tl (0.0000, 0.3690, 0.8398)
Tl (0.5000, 0.1329, 0.2566)

Peak list (10 most intense, 2θ from 10° to 90°, by angle)
30.07°, intensity 185, (0 3 1); 31.62°, intensity 672, (1 0 2); 31.83°, intensity 188, (0 2 2); 32.40°, intensity 1000, (1 3 0); 32.92°, intensity 778, (1 1 2); 35.03°, intensity 436, (1 3 1); 35.52°, intensity 606, (2 0 0); 37.91°, intensity 277, (0 3 2); 52.93°, intensity 214, (2 3 2); 69.40°, intensity 233, (2 6 1)

Entry 6:
# Ho4Er7Tm2
Simulated XRD peak list, Cu Kα (λ = 1.5418 Å). Input: a crystal structure in Alexandria, relaxed with PBE.
Peak positions follow from Bragg's law for the DFT cell and can differ from measured ones.

Cell and atoms:
Lattice parameters (Å, degrees): 5.9827 5.9827 13.0825 90.00 90.00 120.00
Space group P-31m (No. 162)
Inequivalent atoms, fractional coordinates:
Ho (0.0000, 0.0000, 0.1068)
Ho (0.3333, 0.6667, 0.0000)
Er (0.0000, 0.0000, 0.5000)
Er (0.0000, 0.3547, 0.7143)
Tm (0.3333, 0.6667, 0.5000)

Peak list (10 most intense, 2θ from 10° to 90°, by angle)
27.27°, intensity 187, (0 0 4); 29.87°, intensity 148, (1 1 0); 30.66°, intensity 444, (1 1 1); 32.93°, intensity 1000, (2 -1 2); 34.27°, intensity 149, (0 0 5); 36.42°, intensity 324, (1 1 3); 51.89°, intensity 175, (2 -1 6); 53.02°, intensity 297, (3 0 0); 63.85°, intensity 170, (2 2 2); 65.00°, intensity 144, (1 1 8)

Entry 7:
# Ho9Er3Tm2
Simulated XRD peak list, Cu Kα (λ = 1.5418 Å). Input: a crystal structure in Alexandria, relaxed with PBE.
Peak positions follow from Bragg's law for the DFT cell and can differ from measured ones.

Cell and atoms:
Lattice parameters (Å, degrees): 5.2460 6.8174 12.6154 89.78 89.91 90.00
Space group P-1 (No. 2)
Inequivalent atoms, fractional coordinates:
Ho (0.0000, 0.0000, 0.0000)
Ho (0.0006, 0.2516, 0.2578)
Ho (0.4977, 0.7504, 0.1537)
Ho (0.4993, 0.9838, 0.6292)
Ho (0.5002, 0.4843, 0.3712)
Er (0.9997, 0.2499, 0.5300)
Er (0.0000, 0.5000, 0.0000)
Tm (0.5003, 0.2512, 0.1060)

Peak list (10 most intense, 2θ from 10° to 90°, by angle)
30.21°, intensity 212, (1 -1 3); 32.11°, intensity 1000, (1 2 1); 33.14°, intensity 819, (1 0 4); 33.79°, intensity 202, (0 2 3); 33.92°, intensity 201, (0 2 -3); 34.18°, intensity 460, (2 0 0); 48.85°, intensity 239, (-2 2 3); 53.79°, intensity 140, (0 4 0); 60.54°, intensity 147, (3 0 4); 65.29°, intensity 138, (2 4 0)

Entry 8:
# Ho4Er4Tm3
Simulated XRD peak list, Cu Kα (λ = 1.5418 Å). Input: a crystal structure in Alexandria, relaxed with PBE.
Peak positions follow from Bragg's law for the DFT cell and can differ from measured ones.

Cell and atoms:
Lattice parameters (Å, degrees): 3.4746 5.5072 17.7869 81.14 84.41 90.00
Space group P-1 (No. 2)
Inequivalent atoms, fractional coordinates:
Ho (0.0902, 0.0897, 0.3196)
Ho (0.2333, 0.7331, 0.0338)
Er (0.0453, 0.5453, 0.4086)
Er (0.1796, 0.1801, 0.1398)
Tm (0.3638, 0.3637, 0.7729)
Tm (0.5000, 0.0000, 0.5000)

Peak list (10 most intense, 2θ from 10° to 90°, by angle)
31.36°, intensity 272, (1 0 4); 32.13°, intensity 606, (1 1 -1); 32.52°, intensity 1000, (0 2 1); 45.80°, intensity 192, (1 2 5); 46.93°, intensity 116, (1 0 -7); 57.77°, intensity 119, (1 3 0); 58.01°, intensity 186, (0 3 7); 58.25°, intensity 122, (1 2 -6); 63.29°, intensity 298, (2 2 2); 82.19°, intensity 139, (2 3 8)

- Number 2 is which compound?
  Ho2Er12Tl